(1)
This entry pairs a crystal structure of Ce3ZrO8 with its calculated XRD peak list. Radiation: Cu Kα. Structure: a crystal structure in the Materials Project, relaxed with PBE.

Most intense lines, 2θ from 10° to 90°, by intensity:
| 2theta | I/Imax | (hkl) |
| --- | --- | --- |
| 28.66 | 1000 | 1 0 2 |
| 47.60 | 366 | 1 1 4 |
| 56.70 | 290 | 2 1 2 |
| 47.81 | 185 | 2 0 0 |
| 33.30 | 182 | 1 1 0 |
| 56.32 | 146 | 1 0 6 |
| 76.93 | 115 | 2 1 6 |
| 89.00 | 113 | 3 1 4 |
| 33.02 | 95 | 0 0 4 |
| 59.33 | 80 | 2 0 4 |
| 77.26 | 58 | 3 0 2 |
| 69.93 | 55 | 2 2 0 |

Structural model:
```
data_Ce3ZrO8
_symmetry_space_group_name_H-M 'P -4 m 2'
_symmetry_Int_Tables_number 115
_symmetry_space_group_name_Hall 'P -4 -2'
_cell_length_a 3.805
_cell_length_b 3.805
_cell_length_c 10.852
_cell_angle_alpha 90.00
_cell_angle_beta 90.00
_cell_angle_gamma 90.00
loop_
_atom_site_label
_atom_site_type_symbol
_atom_site_fract_x
_atom_site_fract_y
_atom_site_fract_z
Ce1 Ce 0.000 0.000 0.000
Ce2 Ce 0.500 0.500 0.255
Zr1 Zr 0.000 0.000 0.500
O1 O 0.000 0.500 0.120
O2 O 0.000 0.500 0.372
O3 O 0.000 0.500 0.605
O4 O 0.000 0.500 0.865
```

---

(2)
This entry pairs a crystal structure of Ce3ZrO8 with its calculated XRD peak list. Radiation: Cu Kα. Structure: a crystal structure in the Materials Project, relaxed with PBE.

Most intense lines, 2θ from 10° to 90°, by intensity:
| 2theta | I/Imax | (hkl) |
| --- | --- | --- |
| 28.50 | 1000 | 2 2 -1 |
| 47.30 | 270 | 4 0 -2 |
| 47.49 | 268 | 4 4 0 |
| 32.94 | 191 | 0 0 2 |
| 56.09 | 147 | 2 2 -3 |
| 56.18 | 143 | 2 6 1 |
| 33.18 | 90 | 4 0 0 |
| 56.37 | 72 | 6 2 -1 |
| 56.51 | 70 | 6 2 1 |
| 76.44 | 58 | 6 2 -3 |
| 76.75 | 55 | 6 6 1 |
| 69.10 | 51 | 0 8 0 |

Structural model:
```
data_Ce3ZrO8
_symmetry_space_group_name_H-M 'C 1 2/c 1'
_symmetry_Int_Tables_number 15
_symmetry_space_group_name_Hall '-C 2yc'
_cell_length_a 10.801
_cell_length_b 10.872
_cell_length_c 5.439
_cell_angle_alpha 90.00
_cell_angle_beta 90.23
_cell_angle_gamma 90.00
loop_
_atom_site_label
_atom_site_type_symbol
_atom_site_fract_x
_atom_site_fract_y
_atom_site_fract_z
Ce1 Ce 0.000 0.125 0.250
Ce2 Ce 0.245 0.377 0.240
Zr1 Zr 0.000 0.368 0.750
O1 O 0.121 0.265 0.523
O2 O 0.121 0.485 0.944
O3 O 0.124 0.243 0.013
O4 O 0.127 0.008 0.498
```

---

(3)
This entry pairs a crystal structure of Ce2ZrO6 with its calculated XRD peak list. Radiation: Cu Kα. Structure: a crystal structure in the Materials Project, relaxed with PBE.

Most intense lines, 2θ from 10° to 90°, by intensity:
| 2theta | I/Imax | (hkl) |
| --- | --- | --- |
| 28.74 | 1000 | 1 0 1 |
| 47.74 | 371 | 1 1 0 |
| 48.17 | 364 | 1 0 4 |
| 33.40 | 351 | 0 1 2 |
| 29.07 | 316 | 0 0 3 |
| 56.87 | 281 | 1 1 3 |
| 56.68 | 146 | 0 2 1 |
| 57.25 | 133 | 0 1 5 |
| 77.19 | 117 | 2 1 1 |
| 89.32 | 116 | 2 1 4 |
| 70.16 | 109 | 0 2 4 |
| 59.52 | 76 | 2 0 2 |

Structural model:
```
data_Ce2ZrO6
_symmetry_space_group_name_H-M 'P -3 m 1'
_symmetry_Int_Tables_number 164
_symmetry_space_group_name_Hall '-P 3 2"'
_cell_length_a 3.8099
_cell_length_b 3.8099
_cell_length_c 9.2165
_cell_angle_alpha 90.00
_cell_angle_beta 90.00
_cell_angle_gamma 120.00
loop_
_atom_site_label
_atom_site_type_symbol
_atom_site_fract_x
_atom_site_fract_y
_atom_site_fract_z
Ce1 Ce 0.3333 0.6667 0.1744
Zr1 Zr 0.0000 0.0000 0.5000
O1 O 0.0000 0.0000 0.2638
O2 O 0.3333 0.6667 0.4295
O3 O 0.3333 0.6667 0.9138
```

---

(4)
This entry pairs a crystal structure of Ce2ZrO6 with its calculated XRD peak list. Radiation: Cu Kα. Structure: a crystal structure in the Materials Project, relaxed with PBE.

Most intense lines, 2θ from 10° to 90°, by intensity:
| 2theta | I/Imax | (hkl) |
| --- | --- | --- |
| 28.86 | 1000 | 1 0 3 |
| 48.02 | 558 | 2 0 0 |
| 57.05 | 289 | 2 1 3 |
| 33.48 | 178 | 1 1 0 |
| 56.90 | 144 | 1 0 9 |
| 89.69 | 115 | 3 1 6 |
| 77.63 | 114 | 2 1 9 |
| 33.37 | 90 | 0 0 6 |
| 59.78 | 77 | 2 0 6 |
| 80.16 | 71 | 3 1 0 |
| 77.76 | 58 | 3 0 3 |
| 89.50 | 56 | 2 0 12 |

Structural model:
```
data_Ce2ZrO6
_symmetry_space_group_name_H-M 'I 4/m m m'
_symmetry_Int_Tables_number 139
_symmetry_space_group_name_Hall '-I 4 2'
_cell_length_a 3.785
_cell_length_b 3.785
_cell_length_c 16.111
_cell_angle_alpha 90.00
_cell_angle_beta 90.00
_cell_angle_gamma 90.00
loop_
_atom_site_label
_atom_site_type_symbol
_atom_site_fract_x
_atom_site_fract_y
_atom_site_fract_z
Ce1 Ce 0.000 0.000 0.164
Zr1 Zr 0.000 0.000 0.500
O1 O 0.000 0.500 0.078
O2 O 0.000 0.500 0.250
```

---

(5)
This entry pairs a crystal structure of Ce4Os with its calculated XRD peak list. Radiation: Cu Kα. Structure: a crystal structure in the Materials Project, relaxed with PBE.

Most intense lines, 2θ from 10° to 90°, by intensity:
| 2theta | I/Imax | (hkl) |
| --- | --- | --- |
| 28.82 | 1000 | 2 2 2 |
| 47.96 | 591 | 4 4 0 |
| 23.45 | 377 | 2 2 0 |
| 36.50 | 371 | 3 3 1 |
| 43.84 | 329 | 5 1 1 |
| 56.93 | 325 | 6 2 2 |
| 33.40 | 201 | 4 0 0 |
| 72.04 | 139 | 7 3 3 |
| 89.49 | 135 | 8 4 4 |
| 27.57 | 129 | 3 1 1 |
| 65.05 | 123 | 6 4 2 |
| 41.22 | 116 | 4 2 2 |

Structural model:
a = 10.730 Å, b = 10.730 Å, c = 10.730 Å
α = 90.00°, β = 90.00°, γ = 90.00°
Space group Fd-3m (No. 227, origin choice 2)
Unique sites:
1 Ce 0.015 0.015 0.235 (multiplicity 32)
2 Os 0.125 0.125 0.625 (multiplicity 8)

---

(6)
This entry pairs a crystal structure of CeP12Os4 with its calculated XRD peak list. Radiation: Cu Kα. Structure: a crystal structure in the Materials Project, relaxed with PBE.

Most intense lines, 2θ from 10° to 90°, by intensity:
| 2theta | I/Imax | (hkl) |
| --- | --- | --- |
| 31.17 | 1000 | 2 2 0 |
| 55.47 | 509 | 4 2 2 |
| 21.90 | 494 | 2 0 0 |
| 50.28 | 394 | 4 2 0 |
| 73.85 | 208 | 6 0 2 |
| 38.42 | 189 | 2 2 2 |
| 44.66 | 171 | 4 0 0 |
| 34.96 | 168 | 3 0 1 |
| 41.64 | 117 | 3 1 2 |
| 65.01 | 107 | 4 4 0 |
| 78.12 | 88 | 6 2 2 |
| 86.47 | 85 | 6 4 0 |

Structural model:
```
data_CeP12Os4
_symmetry_space_group_name_H-M 'I m -3'
_symmetry_Int_Tables_number 204
_symmetry_space_group_name_Hall '-I 2 2 3'
_cell_length_a 8.116
_cell_length_b 8.116
_cell_length_c 8.116
_cell_angle_alpha 90.00
_cell_angle_beta 90.00
_cell_angle_gamma 90.00
loop_
_atom_site_label
_atom_site_type_symbol
_atom_site_fract_x
_atom_site_fract_y
_atom_site_fract_z
Ce1 Ce 0.000 0.000 0.000
P1 P 0.000 0.355 0.143
Os1 Os 0.250 0.250 0.250
```

---

(7)
This entry pairs a crystal structure of CeSi2Os2 with its calculated XRD peak list. Radiation: Cu Kα. Structure: a crystal structure in the Materials Project, relaxed with PBE.

Most intense lines, 2θ from 10° to 90°, by intensity:
| 2theta | I/Imax | (hkl) |
| --- | --- | --- |
| 35.37 | 1000 | 1 1 2 |
| 43.10 | 361 | 2 0 0 |
| 18.14 | 276 | 0 0 2 |
| 73.99 | 238 | 3 1 2 |
| 57.90 | 197 | 2 0 4 |
| 36.75 | 180 | 0 0 4 |
| 65.30 | 178 | 1 1 6 |
| 48.22 | 137 | 1 1 4 |
| 34.84 | 135 | 1 0 3 |
| 62.59 | 120 | 2 2 0 |
| 23.05 | 111 | 1 0 1 |
| 47.12 | 98 | 2 0 2 |

Structural model:
```
data_CeSi2Os2
_symmetry_space_group_name_H-M 'I 4/m m m'
_symmetry_Int_Tables_number 139
_symmetry_space_group_name_Hall '-I 4 2'
_cell_length_a 4.198
_cell_length_b 4.198
_cell_length_c 9.781
_cell_angle_alpha 90.00
_cell_angle_beta 90.00
_cell_angle_gamma 90.00
loop_
_atom_site_label
_atom_site_type_symbol
_atom_site_fract_x
_atom_site_fract_y
_atom_site_fract_z
Ce1 Ce 0.000 0.000 0.000
Si1 Si 0.000 0.000 0.371
Os1 Os 0.000 0.500 0.250
```

---

(8)
This entry pairs a crystal structure of CeP2 with its calculated XRD peak list. Radiation: Cu Kα. Structure: a crystal structure in the Materials Project, relaxed with PBE.

Most intense lines, 2θ from 10° to 90°, by intensity:
| 2theta | I/Imax | (hkl) |
| --- | --- | --- |
| 36.61 | 1000 | 1 1 2 |
| 23.17 | 957 | 0 1 2 |
| 35.94 | 937 | 1 2 -1 |
| 28.75 | 773 | 1 1 -2 |
| 27.92 | 408 | 0 2 0 |
| 23.01 | 400 | 1 0 0 |
| 25.07 | 388 | 1 0 -2 |
| 40.63 | 374 | 1 1 -4 |
| 31.26 | 363 | 0 1 3 |
| 51.53 | 338 | 0 3 3 |
| 37.47 | 317 | 0 0 4 |
| 29.46 | 266 | 0 2 1 |

Structural model:
```
data_CeP2
_symmetry_space_group_name_H-M 'P 1 21/c 1'
_symmetry_Int_Tables_number 14
_symmetry_space_group_name_Hall '-P 2ybc'
_cell_length_a 4.036
_cell_length_b 6.392
_cell_length_c 10.026
_cell_angle_alpha 90.00
_cell_angle_beta 106.77
_cell_angle_gamma 90.00
loop_
_atom_site_label
_atom_site_type_symbol
_atom_site_fract_x
_atom_site_fract_y
_atom_site_fract_z
Ce1 Ce 0.079 0.182 0.362
P1 P 0.301 0.630 0.449
P2 P 0.463 0.150 0.671
```

---

(9)
This entry pairs a crystal structure of CeP5 with its calculated XRD peak list. Radiation: Cu Kα. Structure: a crystal structure in the Materials Project, relaxed with PBE.

Most intense lines, 2θ from 10° to 90°, by intensity:
| 2theta | I/Imax | (hkl) |
| --- | --- | --- |
| 34.84 | 1000 | 1 3 0 |
| 23.75 | 617 | 1 1 -1 |
| 27.68 | 598 | 1 2 0 |
| 30.56 | 505 | 1 0 1 |
| 18.53 | 384 | 0 2 0 |
| 44.20 | 357 | 1 3 -2 |
| 44.56 | 351 | 0 3 2 |
| 35.31 | 296 | 0 1 2 |
| 42.54 | 274 | 2 1 0 |
| 32.80 | 240 | 0 3 1 |
| 16.81 | 234 | 0 0 1 |
| 28.79 | 217 | 1 2 -1 |

Structural model:
```
data_CeP5
_symmetry_space_group_name_H-M 'P 1 21/m 1'
_symmetry_Int_Tables_number 11
_symmetry_space_group_name_Hall '-P 2yb'
_cell_length_a 4.608
_cell_length_b 9.577
_cell_length_c 5.575
_cell_angle_alpha 90.00
_cell_angle_beta 108.94
_cell_angle_gamma 90.00
loop_
_atom_site_label
_atom_site_type_symbol
_atom_site_fract_x
_atom_site_fract_y
_atom_site_fract_z
Ce1 Ce 0.097 0.250 0.405
P1 P 0.264 0.250 0.947
P2 P 0.291 0.557 0.388
P3 P 0.367 0.594 0.020
```

---

(10)
This entry pairs a crystal structure of CeP with its calculated XRD peak list. Radiation: Cu Kα. Structure: a crystal structure in the Materials Project, relaxed with PBE.

Most intense lines, 2θ from 10° to 90°, by intensity:
| 2theta | I/Imax | (hkl) |
| --- | --- | --- |
| 30.83 | 1000 | 2 0 0 |
| 26.62 | 770 | 1 1 1 |
| 44.16 | 729 | 2 2 0 |
| 52.31 | 377 | 3 1 1 |
| 72.94 | 325 | 4 2 0 |
| 54.83 | 255 | 2 2 2 |
| 81.25 | 245 | 4 2 2 |
| 70.81 | 151 | 3 3 1 |
| 64.23 | 118 | 4 0 0 |
| 87.36 | 117 | 5 1 1 |

Structural model:
```
data_CeP
_symmetry_space_group_name_H-M 'F m -3 m'
_symmetry_Int_Tables_number 225
_symmetry_space_group_name_Hall '-F 4 2 3'
_cell_length_a 5.800
_cell_length_b 5.800
_cell_length_c 5.800
_cell_angle_alpha 90.00
_cell_angle_beta 90.00
_cell_angle_gamma 90.00
loop_
_atom_site_label
_atom_site_type_symbol
_atom_site_fract_x
_atom_site_fract_y
_atom_site_fract_z
Ce1 Ce 0.000 0.000 0.000
P1 P 0.000 0.000 0.500
```

---

(11)
This entry pairs a crystal structure of CeP2 with its calculated XRD peak list. Radiation: Cu Kα. Structure: a crystal structure in the Materials Project, relaxed with PBE.

Most intense lines, 2θ from 10° to 90°, by intensity:
| 2theta | I/Imax | (hkl) |
| --- | --- | --- |
| 24.16 | 1000 | 1 1 -2 |
| 24.07 | 989 | 3 1 -1 |
| 40.71 | 925 | 3 5 -1 |
| 30.17 | 906 | 0 4 1 |
| 35.81 | 780 | 4 2 -3 |
| 35.50 | 754 | 2 2 1 |
| 22.21 | 718 | 1 3 -1 |
| 34.65 | 506 | 1 5 -1 |
| 32.39 | 477 | 4 2 -2 |
| 24.47 | 417 | 2 2 0 |
| 24.64 | 404 | 2 2 -2 |
| 47.49 | 396 | 2 0 -4 |

Structural model:
```
data_CeP2
_symmetry_space_group_name_H-M 'C 1 c 1'
_symmetry_Int_Tables_number 9
_symmetry_space_group_name_Hall 'C -2yc'
_cell_length_a 12.104
_cell_length_b 13.580
_cell_length_c 8.534
_cell_angle_alpha 90.00
_cell_angle_beta 134.62
_cell_angle_gamma 90.00
loop_
_atom_site_label
_atom_site_type_symbol
_atom_site_fract_x
_atom_site_fract_y
_atom_site_fract_z
Ce1 Ce 0.000 0.042 0.000
Ce2 Ce 0.103 0.458 0.305
Ce3 Ce 0.216 0.192 0.597
Ce4 Ce 0.423 0.224 0.207
P1 P 0.029 0.369 0.530
P2 P 0.130 0.116 0.823
P3 P 0.133 0.246 0.186
P4 P 0.210 0.372 0.112
P5 P 0.286 0.372 0.824
P6 P 0.294 0.029 0.137
P7 P 0.311 0.126 0.378
P8 P 0.403 0.375 0.707
```

---

(12)
This entry pairs a crystal structure of CeP3 with its calculated XRD peak list. Radiation: Cu Kα. Structure: a crystal structure in the Materials Project, relaxed with PBE.

Most intense lines, 2θ from 10° to 90°, by intensity:
| 2theta | I/Imax | (hkl) |
| --- | --- | --- |
| 40.90 | 1000 | 2 0 1 |
| 24.91 | 951 | 1 0 1 |
| 33.96 | 391 | 0 0 2 |
| 31.91 | 317 | 1 1 0 |
| 65.50 | 241 | 2 0 3 |
| 37.01 | 222 | 2 0 0 |
| 47.29 | 218 | 1 1 2 |
| 77.00 | 192 | 2 2 2 |
| 52.79 | 182 | 2 1 1 |
| 18.26 | 174 | 1 0 0 |
| 51.10 | 170 | 2 0 2 |
| 66.71 | 143 | 2 2 0 |

Structural model:
```
data_CeP3
_symmetry_space_group_name_H-M 'P 63/m m c'
_symmetry_Int_Tables_number 194
_symmetry_space_group_name_Hall '-P 6c 2c'
_cell_length_a 5.6088
_cell_length_b 5.6088
_cell_length_c 5.2798
_cell_angle_alpha 90.00
_cell_angle_beta 90.00
_cell_angle_gamma 120.00
loop_
_atom_site_label
_atom_site_type_symbol
_atom_site_fract_x
_atom_site_fract_y
_atom_site_fract_z
Ce1 Ce 0.3333 0.6667 0.2500
P1 P 0.1509 0.3018 0.7500
```